Simulated X-ray powder pattern of Cs6KRb12 for Cu Kα X-rays, from a GGA-PBE-relaxed structure.
Kinematic intensities with the Lorentz-polarization factor, no thermal factor.

Cell and atoms:
Cell lengths 12.870, 12.870, 12.870 Å; angles 72.50, 72.50, 72.50 degrees
Atoms (fractional coordinates):
Cs1 0.148 0.148 0.533
Cs2 0.148 0.533 0.148
Cs3 0.467 0.852 0.852
Cs4 0.533 0.148 0.148
Cs5 0.852 0.467 0.852
Cs6 0.852 0.852 0.467
K1 0.000 0.000 0.000
Rb1 0.103 0.762 0.762
Rb2 0.205 0.524 0.524
Rb3 0.238 0.238 0.897
Rb4 0.238 0.897 0.238
Rb5 0.476 0.476 0.795
Rb6 0.476 0.795 0.476
Rb7 0.524 0.205 0.524
Rb8 0.524 0.524 0.205
Rb9 0.762 0.103 0.762
Rb10 0.762 0.762 0.103
Rb11 0.795 0.476 0.476
Rb12 0.897 0.238 0.238

Main lines, in order of rising 2θ (2θ = 10–90°):
2θ 18.43, intensity 16; 2θ 18.88, intensity 22; 2θ 20.21, intensity 26; 2θ 20.73, intensity 18; 2θ 21.84, intensity 19; 2θ 22.34, intensity 100; 2θ 23.08, intensity 20; 2θ 35.39, intensity 23; 2θ 37.17, intensity 21; 2θ 42.23, intensity 21